No. 1
The following is a simulated X-ray powder pattern of CsRbCdS2. It was derived from a structure optimized by DFT (PBE), using Cu Ka.
Neutral-atom scattering factors, no anomalous dispersion.

Most intense lines, 2θ = 15–90°, sorted by position:
| 2theta | I (rel.) |
| --- | --- |
| 22.68 | 68 |
| 24.37 | 100 |
| 24.84 | 40 |
| 27.02 | 88 |
| 27.75 | 92 |
| 30.04 | 39 |
| 33.57 | 53 |
| 36.13 | 71 |
| 46.68 | 58 |
| 57.90 | 36 |

```
10
Lattice="3.5842 -7.8406 0.0000 3.5842 7.8406 0.0000 0.0000 0.0000 7.2767" Properties=species:S:1:pos:R:3 pbc="T T T"
Cs 3.5842 3.9203 6.0260
Cs 3.5842 -3.9203 1.2507
Rb 1.7921 0.0000 3.6383
Rb 5.3763 0.0000 3.6383
Cd 0.0000 0.0000 0.0000
Cd 3.5842 0.0000 0.0000
S 3.5842 6.0633 1.5415
S 3.5842 1.7773 1.5415
S 3.5842 -1.7773 5.7352
S 3.5842 -6.0633 5.7352
```

No. 2
The following is a simulated X-ray powder pattern of Tb4HoCd. It was derived from a structure optimized by DFT (PBE), using Cu Ka.
Neutral-atom scattering factors, no anomalous dispersion.

Most intense lines, 2θ = 15–90°, sorted by position:
| 2theta | I (rel.) |
| --- | --- |
| 31.44 | 100 |
| 35.61 | 38 |
| 38.11 | 13 |
| 51.24 | 13 |
| 53.14 | 19 |
| 61.36 | 31 |
| 64.73 | 8 |
| 65.61 | 10 |
| 83.96 | 7 |
| 86.96 | 7 |

```
6
Lattice="3.5659 0.0000 0.0000 0.0000 3.5659 0.0000 0.0000 0.0000 14.1677" Properties=species:S:1:pos:R:3 pbc="T T T"
Tb 0.0000 0.0000 2.0914
Tb 0.0000 0.0000 12.0763
Tb 1.7830 1.7830 4.5879
Tb 1.7830 1.7830 9.5798
Ho 0.0000 0.0000 7.0839
Cd 1.7830 1.7830 0.0000
```

No. 3
The following is a simulated X-ray powder pattern of SmHoEr2Tm6. It was derived from a structure optimized by DFT (PBE), using Cu Ka.
Neutral-atom scattering factors, no anomalous dispersion.

Most intense lines, 2θ = 15–90°, sorted by position:
| 2theta | I (rel.) |
| --- | --- |
| 28.94 | 35 |
| 31.08 | 57 |
| 31.19 | 43 |
| 31.75 | 100 |
| 32.10 | 34 |
| 32.84 | 19 |
| 34.54 | 44 |
| 38.25 | 17 |
| 54.92 | 14 |
| 60.76 | 19 |

```
20
Lattice="4.4877 -7.4289 0.0000 4.4877 7.4289 0.0000 -1.1144 0.0000 9.3263" Properties=species:S:1:pos:R:3 pbc="T T T"
Sm 3.6519 7.0450 6.9947
Sm 4.2091 -7.0450 2.3316
Ho 4.2091 1.3420 2.3316
Ho 3.6519 -1.3420 6.9947
Er 1.6448 0.7959 5.0955
Er 2.2020 -0.7959 0.4323
Er 5.6589 0.7959 8.8940
Er 6.2161 -0.7959 4.2308
Tm 1.8742 4.0700 6.3670
Tm 3.8687 4.6529 0.5374
Tm 4.5495 4.6529 4.1258
Tm 2.6007 1.6175 8.2296
Tm 5.4295 4.0700 7.6225
Tm 4.7030 1.6175 5.7599
Tm 3.1579 -1.6175 3.5665
Tm 2.4314 -4.0700 1.7038
Tm 5.2602 -1.6175 1.0967
Tm 3.3115 -4.6529 5.2006
Tm 3.9922 -4.6529 8.7889
Tm 5.9867 -4.0700 2.9594
```

No. 4
The following is a simulated X-ray powder pattern of Tm2Al5Cu5. It was derived from a structure optimized by DFT (PBE), using Cu Ka.
Neutral-atom scattering factors, no anomalous dispersion.

Most intense lines, 2θ = 15–90°, sorted by position:
| 2theta | I (rel.) |
| --- | --- |
| 21.62 | 43 |
| 29.34 | 42 |
| 34.15 | 31 |
| 34.58 | 43 |
| 39.81 | 18 |
| 40.78 | 40 |
| 41.15 | 100 |
| 44.06 | 27 |
| 57.19 | 20 |
| 65.92 | 24 |

```
12
Lattice="4.1105 0.0000 0.0000 0.0000 5.2510 0.0000 0.0000 0.0000 8.9484" Properties=species:S:1:pos:R:3 pbc="T T T"
Tm 0.0000 0.0000 0.0000
Tm 0.0000 2.6255 4.4742
Al 2.0552 0.0000 4.4742
Al 2.0552 1.3157 2.1349
Al 2.0552 1.3157 6.8136
Al 2.0552 3.9353 2.1349
Al 2.0552 3.9353 6.8136
Cu 0.0000 0.0000 2.9826
Cu 0.0000 0.0000 5.9659
Cu 0.0000 2.6255 1.4860
Cu 0.0000 2.6255 7.4624
Cu 2.0552 2.6255 0.0000
```

No. 5
The following is a simulated X-ray powder pattern of Zn3CdGa. It was derived from a structure optimized by DFT (PBE), using Cu Ka.
Neutral-atom scattering factors, no anomalous dispersion.

Most intense lines, 2θ = 15–90°, sorted by position:
| 2theta | I (rel.) |
| --- | --- |
| 26.64 | 80 |
| 32.09 | 67 |
| 33.10 | 75 |
| 35.57 | 100 |
| 39.15 | 75 |
| 41.66 | 52 |
| 42.99 | 60 |
| 47.04 | 35 |
| 47.99 | 65 |
| 85.98 | 43 |

```
10
Lattice="3.3458 1.9317 5.0479 -3.3458 1.9317 5.0479 0.0000 -3.8634 5.0479" Properties=species:S:1:pos:R:3 pbc="T T T"
Zn -2.3959 -0.7168 7.5719
Zn -0.5772 -1.4301 5.0479
Zn -0.9499 1.2149 5.0479
Zn 1.5271 0.2151 5.0479
Zn 1.8187 -1.7166 7.5719
Zn 0.5772 2.4333 7.5719
Cd 0.0000 0.0000 2.5178
Cd 0.0000 0.0000 10.0897
Ga 0.0000 0.0000 7.3087
Ga 0.0000 0.0000 14.8805
```

No. 6
The following is a simulated X-ray powder pattern of K2NdGaI6. It was derived from a structure optimized by DFT (PBE), using Cu Ka.
Neutral-atom scattering factors, no anomalous dispersion.

Most intense lines, 2θ = 15–90°, sorted by position:
| 2theta | I (rel.) |
| --- | --- |
| 23.93 | 100 |
| 24.12 | 14 |
| 28.87 | 36 |
| 31.96 | 64 |
| 36.13 | 31 |
| 37.84 | 11 |
| 42.32 | 22 |
| 43.96 | 18 |
| 44.56 | 13 |
| 56.28 | 13 |

```
10
Lattice="4.3059 2.4860 7.3794 -4.3059 2.4860 7.3794 0.0000 -4.9720 7.3794" Properties=species:S:1:pos:R:3 pbc="T T T"
K 0.0000 0.0000 0.0000
K 0.0000 0.0000 10.8966
Nd 0.0000 0.0000 15.4944
Ga 0.0000 0.0000 4.5476
I -1.7340 -2.9271 9.8391
I -2.4899 0.3281 13.5809
I -1.6679 2.9653 9.8391
I 0.9608 -2.3203 13.5809
I 3.4019 -0.0382 9.8391
I 1.5291 1.9922 13.5809
```

No. 7
The following is a simulated X-ray powder pattern of BaTl2TcO4. It was derived from a structure optimized by DFT (PBE), using Cu Ka.
Neutral-atom scattering factors, no anomalous dispersion.

Most intense lines, 2θ = 15–90°, sorted by position:
| 2theta | I (rel.) |
| --- | --- |
| 17.93 | 38 |
| 26.11 | 95 |
| 27.50 | 100 |
| 27.60 | 77 |
| 27.81 | 90 |
| 29.74 | 85 |
| 31.97 | 45 |
| 32.95 | 24 |
| 37.80 | 36 |
| 51.56 | 25 |

```
8
Lattice="5.4442 0.0000 0.0000 0.2716 6.0154 0.0000 2.6795 2.7243 5.5985" Properties=species:S:1:pos:R:3 pbc="T T T"
Ba 0.0000 0.0000 0.0000
Tl 5.4387 5.8187 4.8535
Tl 4.5690 2.9810 2.2874
Tc 2.8216 5.6965 2.5935
O 3.5861 4.5131 3.9567
O 3.5695 7.1052 3.6648
O 3.2309 6.3771 0.9220
O 6.5496 5.1580 2.4073
```

No. 8
The following is a simulated X-ray powder pattern of Dy2Y7Th2. It was derived from a structure optimized by DFT (PBE), using Cu Ka.
Neutral-atom scattering factors, no anomalous dispersion.

Most intense lines, 2θ = 15–90°, sorted by position:
| 2theta | I (rel.) |
| --- | --- |
| 18.38 | 27 |
| 18.74 | 22 |
| 31.80 | 100 |
| 31.91 | 41 |
| 32.01 | 39 |
| 32.55 | 57 |
| 45.83 | 29 |
| 56.79 | 19 |
| 57.87 | 21 |
| 63.47 | 14 |

```
11
Lattice="5.6091 0.0000 0.0000 0.0000 6.9276 0.0000 0.0000 0.0000 9.4701" Properties=species:S:1:pos:R:3 pbc="T T T"
Dy 0.0000 1.7093 0.0000
Dy 0.0000 5.2183 0.0000
Y 0.0000 0.0000 3.1298
Y 0.0000 0.0000 6.3402
Y 0.0000 3.4638 4.7350
Y 2.8046 0.0000 1.5199
Y 2.8046 0.0000 7.9502
Y 2.8046 3.4638 1.8104
Y 2.8046 3.4638 7.6596
Th 2.8046 1.5584 4.7350
Th 2.8046 5.3692 4.7350
```

No. 9
The following is a simulated X-ray powder pattern of Li17Hg2. It was derived from a structure optimized by DFT (PBE), using Cu Ka.
Neutral-atom scattering factors, no anomalous dispersion.

Most intense lines, 2θ = 15–90°, sorted by position:
| 2theta | I (rel.) |
| --- | --- |
| 15.40 | 20 |
| 16.00 | 100 |
| 21.32 | 65 |
| 26.40 | 32 |
| 26.77 | 29 |
| 28.66 | 28 |
| 34.48 | 39 |
| 35.99 | 21 |
| 37.37 | 19 |
| 42.21 | 21 |

```
19
Lattice="4.1675 2.4061 5.7553 -4.1675 2.4061 5.7553 0.0000 -4.8122 5.7553" Properties=species:S:1:pos:R:3 pbc="T T T"
Li -4.1675 0.0000 8.6330
Li -1.2723 -2.6085 5.7553
Li -2.0837 1.2031 2.8777
Li -2.8952 0.2024 5.7553
Li 0.0000 0.0000 1.7053
Li -1.5223 -0.8789 7.6093
Li 1.2723 -2.6085 5.7553
Li -1.6229 2.4061 5.7553
Li 0.0000 -1.7578 9.6567
Li -1.5223 0.8789 9.6567
Li 2.0838 1.2031 2.8777
Li 1.5223 -0.8789 7.6093
Li 0.0000 1.7578 7.6093
Li 2.8952 0.2024 5.7553
Li 1.6229 2.4061 5.7553
Li 1.5223 0.8789 9.6566
Li 0.0000 0.0000 15.5607
Hg 0.0000 0.0000 4.9563
Hg 0.0000 0.0000 12.3096
```

No. 10
The following is a simulated X-ray powder pattern of CaNd5Dy2. It was derived from a structure optimized by DFT (PBE), using Cu Ka.
Neutral-atom scattering factors, no anomalous dispersion.

Most intense lines, 2θ = 15–90°, sorted by position:
| 2theta | I (rel.) |
| --- | --- |
| 28.20 | 39 |
| 29.37 | 100 |
| 29.48 | 44 |
| 31.22 | 77 |
| 33.30 | 26 |
| 34.83 | 76 |
| 37.96 | 27 |
| 44.48 | 31 |
| 52.21 | 39 |
| 55.11 | 35 |

```
16
Lattice="-3.0303 5.8485 8.1283 3.0303 -5.8485 8.1283 3.0303 5.8485 -8.1283" Properties=species:S:1:pos:R:3 pbc="T T T"
Ca 0.0000 2.9242 1.5512
Ca 3.0303 2.9242 6.5770
Nd 3.0303 5.0991 -6.4057
Nd 3.0303 2.9242 -0.8315
Nd 3.0303 0.9426 3.1760
Nd 3.0303 -0.7494 6.4057
Nd 0.0000 0.9426 4.9523
Nd 3.0303 4.9059 3.1760
Nd 0.0000 6.5979 1.7226
Nd 0.0000 4.9059 4.9523
Nd 0.0000 2.9242 8.9598
Nd 0.0000 0.7494 14.5339
Dy 1.5152 2.9242 -4.0641
Dy 1.5152 -2.9242 4.0641
Dy 3.0303 0.0000 0.0000
Dy 0.0000 0.0000 8.1283
```

No. 11
The following is a simulated X-ray powder pattern of Pd3Pb3Au. It was derived from a structure optimized by DFT (PBE), using Cu Ka.
Neutral-atom scattering factors, no anomalous dispersion.

Most intense lines, 2θ = 15–90°, sorted by position:
| 2theta | I (rel.) |
| --- | --- |
| 31.66 | 95 |
| 33.56 | 100 |
| 35.15 | 79 |
| 35.59 | 97 |
| 36.70 | 71 |
| 37.45 | 97 |
| 38.76 | 34 |
| 42.82 | 35 |
| 43.26 | 34 |
| 50.57 | 53 |

```
28
Lattice="13.3193 0.0000 0.0000 0.0000 3.6096 0.0000 0.0000 0.0000 12.4695" Properties=species:S:1:pos:R:3 pbc="T T T"
Pd 0.5710 0.9024 1.5299
Pd 1.8597 0.9024 7.0116
Pd 2.6883 2.7072 4.9685
Pd 3.9714 0.9024 11.2033
Pd 4.7999 2.7072 0.7768
Pd 6.0887 2.7072 7.7647
Pd 7.2307 0.9024 4.7048
Pd 8.5194 0.9024 11.6927
Pd 9.3479 2.7072 1.2662
Pd 10.6310 0.9024 7.5010
Pd 11.4596 2.7072 5.4579
Pd 12.7483 2.7072 10.9396
Pb 0.3002 0.9024 4.5764
Pb 1.9706 2.7072 12.2778
Pb 3.2172 0.9024 2.6113
Pb 3.4425 2.7072 8.8461
Pb 4.6891 0.9024 6.0430
Pb 6.3594 2.7072 10.8112
Pb 6.9599 0.9024 1.6584
Pb 8.6302 2.7072 6.4266
Pb 9.8768 0.9024 3.6235
Pb 10.1021 2.7072 9.8582
Pb 11.3487 0.9024 0.1918
Pb 13.0191 2.7072 7.8931
Au 1.2809 0.9024 9.8542
Au 5.3788 2.7072 3.6195
Au 7.9405 0.9024 8.8501
Au 12.0384 2.7072 2.6153
```

No. 12
The following is a simulated X-ray powder pattern of Ba6InRhAu2. It was derived from a structure optimized by DFT (PBE), using Cu Ka.
Neutral-atom scattering factors, no anomalous dispersion.

Most intense lines, 2θ = 15–90°, sorted by position:
| 2theta | I (rel.) |
| --- | --- |
| 24.68 | 100 |
| 26.23 | 26 |
| 32.33 | 99 |
| 34.23 | 20 |
| 34.32 | 15 |
| 37.86 | 64 |
| 42.35 | 22 |
| 50.62 | 24 |
| 63.24 | 15 |
| 64.92 | 23 |

```
10
Lattice="8.2262 0.0000 0.0000 4.1079 7.1325 0.0000 4.1082 2.3764 7.4880" Properties=species:S:1:pos:R:3 pbc="T T T"
Ba 0.0000 0.0000 0.0000
Ba 6.3125 7.0649 4.0071
Ba 7.5779 4.9590 7.4872
Ba 6.5587 2.4215 4.0018
Ba 11.8307 6.6764 7.4849
Ba 10.6442 4.5302 4.0032
In 9.2072 7.0472 1.7136
Rh 5.0969 4.6710 5.5716
Au 5.0990 4.6732 2.0726
Au 9.2095 2.2942 6.2401
```